Theoretical X-ray diffraction stick pattern
Compound: Tl2Mo3PCO12
Radiation: copper Kα
Structure: DFT lattice parameters and positions (GGA+U)

Lattice parameters (Å, degrees): 7.3474 7.3597 8.4648 85.44 64.74 61.90
Atoms (fractional coordinates):
Tl 0.0000 0.0000 0.0000
Tl 0.0577 0.5322 0.3561
Mo 0.4348 0.5686 0.5428
Mo 0.4867 0.0418 0.5096
Mo 0.9509 0.0713 0.5224
P 0.4561 0.9787 0.1033
C 0.8649 0.5375 0.7699
O 0.1717 0.1283 0.5273
O 0.1998 0.7502 0.4856
O 0.2114 0.0114 0.2116
O 0.3034 0.6153 0.7724
O 0.3907 0.0616 0.7355
O 0.4291 0.3361 0.4675
O 0.5673 0.0023 0.2130
O 0.5863 0.7308 0.4631
O 0.7690 0.3407 0.4943
O 0.8018 0.0745 0.7462
O 0.8241 0.9537 0.4238
O 0.8345 0.4792 0.9035

The 8 most intense peaks (15 to 90 degrees two-theta), by intensity:
| index | 2θ (°) | Rel. int. |
| --- | --- | --- |
| 0 2 0 | 27.8 | 100.0 |
| 0 0 2 | 23.5 | 70.3 |
| 2 2 2 | 31.7 | 58.4 |
| 2 0 2 | 29.3 | 44.9 |
| 1 1 -1 | 21.6 | 44.7 |
| 2 2 0 | 29.8 | 42.2 |
| 1 0 0 | 15.2 | 39.6 |
| 1 1 1 | 15.7 | 35.9 |